Record 1
# Lu4CuAgIr2
Calculated XRD peak list, a wavelength of 1.5418 Å. Input: DFT lattice parameters and positions (GGA-PBE).
Peak positions follow from Bragg's law for the DFT cell and can differ from measured ones.

Structure:
Unit cell a=4.8100 b=4.8100 c=6.8170 alpha=90.00 beta=90.00 gamma=90.00
Space group P4/mmm (No. 123)
Unique sites:
Lu: 0.0000 0.5000 0.2442 (multiplicity 4)
Cu: 0.0000 0.0000 0.0000 (multiplicity 1)
Ag: 0.5000 0.5000 0.5000 (multiplicity 1)
Ir: 0.0000 0.0000 0.5000 (multiplicity 1)
Ir: 0.5000 0.5000 0.0000 (multiplicity 1)

Top 6 peaks for 15° ≤ 2θ ≤ 90°, in order of rising 2θ:
- 2θ = 22.62°, I = 5.7, hkl 1 0 1
- 2θ = 37.36°, I = 100.0, hkl 2 0 0
- 2θ = 53.79°, I = 5.8, hkl 0 0 4
- 2θ = 53.91°, I = 11.6, hkl 2 2 0
- 2θ = 67.39°, I = 35.4, hkl 3 1 2
- 2θ = 79.64°, I = 7.4, hkl 2 2 4

---

Record 2
# K2CuAgTe2
Calculated XRD peak list, a wavelength of 1.5418 Å. Input: DFT lattice parameters and positions (GGA-PBE).
Peak positions follow from Bragg's law for the DFT cell and can differ from measured ones.

Structure:
Unit cell a=4.6731 b=4.6731 c=9.9515 alpha=90.00 beta=90.00 gamma=120.00
Space group P-6m2 (No. 187)
Unique sites:
K: 0.0000 0.0000 0.2498 (multiplicity 2)
Cu: 0.6667 0.3333 0.0000 (multiplicity 1)
Ag: 0.3333 0.6667 0.5000 (multiplicity 1)
Te: 0.3333 0.6667 0.0000 (multiplicity 1)
Te: 0.6667 0.3333 0.5000 (multiplicity 1)

Top 6 peaks for 15° ≤ 2θ ≤ 90°, in order of rising 2θ:
- 2θ = 17.83°, I = 68.1, hkl 0 0 2
- 2θ = 28.43°, I = 100.0, hkl 1 0 2
- 2θ = 36.10°, I = 25.4, hkl 0 0 4
- 2θ = 38.53°, I = 63.2, hkl 1 1 0
- 2θ = 42.74°, I = 51.6, hkl 1 1 2
- 2θ = 53.83°, I = 46.0, hkl 1 1 4

---

Record 3
# Li2Sc2Tl2CuAg
Calculated XRD peak list, a wavelength of 1.5418 Å. Input: DFT lattice parameters and positions (GGA-PBE).
Peak positions follow from Bragg's law for the DFT cell and can differ from measured ones.

Structure:
Unit cell a=4.6532 b=4.6532 c=6.6446 alpha=90.00 beta=90.00 gamma=90.00
Space group P-4m2 (No. 115)
Unique sites:
Li: 0.0000 0.0000 0.0000 (multiplicity 1)
Li: 0.5000 0.5000 0.5000 (multiplicity 1)
Sc: 0.0000 0.5000 0.7392 (multiplicity 2)
Tl: 0.0000 0.5000 0.2600 (multiplicity 2)
Cu: 0.0000 0.0000 0.5000 (multiplicity 1)
Ag: 0.5000 0.5000 0.0000 (multiplicity 1)

Top 6 peaks for 15° ≤ 2θ ≤ 90°, in order of rising 2θ:
- 2θ = 23.34°, I = 97.3, hkl 1 0 1
- 2θ = 27.10°, I = 24.0, hkl 1 1 0
- 2θ = 38.51°, I = 100.0, hkl 1 1 2
- 2θ = 38.70°, I = 49.9, hkl 2 0 0
- 2θ = 45.69°, I = 34.4, hkl 2 1 1
- 2θ = 69.92°, I = 33.5, hkl 3 1 2

---

Record 4
# Y3Mg3TlCuAg
Calculated XRD peak list, a wavelength of 1.5418 Å. Input: DFT lattice parameters and positions (GGA-PBE).
Peak positions follow from Bragg's law for the DFT cell and can differ from measured ones.

Structure:
Unit cell a=7.6842 b=7.6842 c=4.1720 alpha=90.00 beta=90.00 gamma=120.00
Space group P-6 (No. 174)
Unique sites:
Y: 0.0763 0.7316 0.0000 (multiplicity 3)
Mg: 0.4318 0.0951 0.5000 (multiplicity 3)
Tl: 0.0000 0.0000 0.5000 (multiplicity 1)
Cu: 0.6667 0.3333 0.0000 (multiplicity 1)
Ag: 0.3333 0.6667 0.5000 (multiplicity 1)

Top 6 peaks for 15° ≤ 2θ ≤ 90°, in order of rising 2θ:
- 2θ = 23.15°, I = 51.1, hkl 1 1 0
- 2θ = 25.19°, I = 26.9, hkl 1 0 1
- 2θ = 31.66°, I = 100.0, hkl 1 1 1
- 2θ = 34.48°, I = 79.4, hkl 2 0 1
- 2θ = 40.67°, I = 41.1, hkl 3 0 0
- 2θ = 41.94°, I = 34.6, hkl 1 2 1